Record 1
# Mg12TlPb6
Simulated PXRD pattern, Cu Kα X-rays. Input: a structure optimized by DFT (PBE).
Intensities are scaled so that the largest is 100.

Most intense lines, 2θ = 10–90°, sorted by position:
- hkl 3 -1 1, 22.75°, intensity 100
- hkl 0 0 3, 23.13°, intensity 35
- hkl 1 2 2, 26.44°, intensity 41
- hkl 4 0 1, 33.52°, intensity 13
- hkl 5 -2 1, 36.47°, intensity 12
- hkl 4 1 0, 37.49°, intensity 29
- hkl 3 -1 4, 37.98°, intensity 30
- hkl 1 3 4, 43.18°, intensity 12
- hkl 5 -4 3, 44.52°, intensity 18
- hkl 7 -5 3, 57.59°, intensity 15

Structural model:
```
data_Mg12TlPb6
_chemical_formula_sum 'Mg36 Tl3 Pb18'
_space_group_name_H-M_alt 'R -3'
_space_group_IT_number 148
_space_group_name_Hall '-R 3'
_cell_length_a 12.6938
_cell_length_b 12.6938
_cell_length_c 11.5346
_cell_angle_alpha 90.00
_cell_angle_beta 90.00
_cell_angle_gamma 120.00
loop_
_atom_site_label
_atom_site_type_symbol
_atom_site_fract_x
_atom_site_fract_y
_atom_site_fract_z
Mg1 Mg 0.0388 0.7883 0.4479
Mg2 Mg 0.0631 0.8120 0.9363
Tl1 Tl 0.0000 0.0000 0.5000
Pb1 Pb 0.0428 0.8461 0.1952
```

---

Record 2
# Tb5PaRu6
Simulated PXRD pattern, Cu Kα X-rays. Input: a structure optimized by DFT (PBE).
Intensities are scaled so that the largest is 100.

Most intense lines, 2θ = 10–90°, sorted by position:
- hkl 0 0 2, 26.05°, intensity 11
- hkl 2 0 0, 36.84°, intensity 26
- hkl 1 3 2, 37.15°, intensity 100
- hkl 0 6 0, 37.59°, intensity 24
- hkl 0 0 4, 53.46°, intensity 9
- hkl 2 6 0, 53.65°, intensity 17
- hkl 3 3 2, 66.57°, intensity 18
- hkl 2 0 4, 66.69°, intensity 9
- hkl 1 9 2, 67.56°, intensity 16
- hkl 2 6 4, 79.16°, intensity 10

Structural model:
```
data_Tb5PaRu6
_chemical_formula_sum 'Tb10 Pa2 Ru12'
_space_group_name_H-M_alt 'C m m m'
_space_group_IT_number 65
_space_group_name_Hall '-C 2 2'
_cell_length_a 4.8793
_cell_length_b 14.3554
_cell_length_c 6.8564
_cell_angle_alpha 90.00
_cell_angle_beta 90.00
_cell_angle_gamma 90.00
loop_
_atom_site_label
_atom_site_type_symbol
_atom_site_fract_x
_atom_site_fract_y
_atom_site_fract_z
Tb1 Tb 0.0000 0.0000 0.0000
Tb2 Tb 0.0000 0.3298 0.5000
Tb3 Tb 0.0000 0.3328 0.0000
Pa1 Pa 0.0000 0.0000 0.5000
Ru1 Ru 0.0000 0.1564 0.2631
Ru2 Ru 0.0000 0.5000 0.2648
```

---

Record 3
# Tb3AlNi8
Simulated PXRD pattern, Cu Kα X-rays. Input: a structure optimized by DFT (PBE).
Intensities are scaled so that the largest is 100.

Most intense lines, 2θ = 10–90°, sorted by position:
- hkl 1 0 5, 34.56°, intensity 97
- hkl 1 1 0, 35.38°, intensity 61
- hkl 2 0 0, 41.09°, intensity 22
- hkl 2 0 1, 41.49°, intensity 49
- hkl 1 1 4, 42.12°, intensity 100
- hkl 2 0 3, 44.55°, intensity 49
- hkl 2 1 5, 62.99°, intensity 33
- hkl 3 0 4, 68.14°, intensity 23
- hkl 1 1 10, 69.17°, intensity 21
- hkl 2 2 0, 74.86°, intensity 27

Structural model:
```
data_Tb3AlNi8
_chemical_formula_sum 'Tb6 Al2 Ni16'
_space_group_name_H-M_alt 'P 63/m m c'
_space_group_IT_number 194
_space_group_name_Hall '-P 6c 2c'
_cell_length_a 5.0734
_cell_length_b 5.0734
_cell_length_c 16.0815
_cell_angle_alpha 90.00
_cell_angle_beta 90.00
_cell_angle_gamma 120.00
loop_
_atom_site_label
_atom_site_type_symbol
_atom_site_fract_x
_atom_site_fract_y
_atom_site_fract_z
Tb1 Tb 0.3333 0.6667 0.0451
Tb2 Tb 0.3333 0.6667 0.2500
Al1 Al 0.0000 0.0000 0.0000
Ni1 Ni 0.0000 0.0000 0.2500
Ni2 Ni 0.1687 0.3375 0.6256
Ni3 Ni 0.3333 0.6667 0.7500
```

---

Record 4
# TbSmCO
Simulated PXRD pattern, Cu Kα X-rays. Input: a structure optimized by DFT (PBE).
Intensities are scaled so that the largest is 100.

Most intense lines, 2θ = 10–90°, sorted by position:
- hkl 0 1 1, 27.91°, intensity 61
- hkl 1 0 1, 28.76°, intensity 52
- hkl 0 0 4, 29.37°, intensity 54
- hkl 0 1 3, 34.98°, intensity 36
- hkl 1 0 3, 35.67°, intensity 40
- hkl 1 1 2, 41.91°, intensity 100
- hkl 0 1 5, 46.30°, intensity 22
- hkl 1 0 5, 46.86°, intensity 18
- hkl 0 0 8, 60.87°, intensity 34
- hkl 1 2 3, 67.72°, intensity 12

Structural model:
```
data_TbSmCO
_chemical_formula_sum 'Tb2 Sm2 C2 O2'
_space_group_name_H-M_alt 'I m m 2'
_space_group_IT_number 44
_cell_length_a 3.2101
_cell_length_b 3.3126
_cell_length_c 12.1643
_cell_angle_alpha 90.00
_cell_angle_beta 90.00
_cell_angle_gamma 90.00
loop_
_space_group_symop_operation_xyz
'x,y,z'
'-x,-y,z'
'-x,y,z'
'x,-y,z'
'x+1/2,y+1/2,z+1/2'
'-x+1/2,-y+1/2,z+1/2'
'-x+1/2,y+1/2,z+1/2'
'x+1/2,-y+1/2,z+1/2'
loop_
_atom_site_label
_atom_site_type_symbol
_atom_site_fract_x
_atom_site_fract_y
_atom_site_fract_z
Tb1 Tb 0.0000 0.0000 0.0000
Sm1 Sm 0.0000 0.5000 0.7481
C1 C 0.0000 0.0000 0.5913
O1 O 0.0000 0.5000 0.3381
```

---

Record 5
# LiCe5Pt5
Simulated PXRD pattern, Cu Kα X-rays. Input: a structure optimized by DFT (PBE).
Intensities are scaled so that the largest is 100.

Most intense lines, 2θ = 10–90°, sorted by position:
- hkl 4 0 -2, 31.17°, intensity 94
- hkl 0 2 0, 31.27°, intensity 100
- hkl 2 0 2, 31.49°, intensity 97
- hkl 6 0 0, 44.37°, intensity 35
- hkl 4 2 -2, 44.74°, intensity 70
- hkl 2 2 2, 44.97°, intensity 73
- hkl 2 0 -4, 45.43°, intensity 35
- hkl 6 2 0, 55.28°, intensity 37
- hkl 2 2 -4, 56.18°, intensity 38
- hkl 6 4 0, 82.30°, intensity 23

Structural model:
```
data_LiCe5Pt5
_chemical_formula_sum 'Li2 Ce10 Pt10'
_space_group_name_H-M_alt 'C 1 2/m 1'
_space_group_IT_number 12
_cell_length_a 12.9228
_cell_length_b 5.7205
_cell_length_c 7.9866
_cell_angle_alpha 90.00
_cell_angle_beta 108.56
_cell_angle_gamma 90.00
loop_
_space_group_symop_operation_xyz
'x,y,z'
'-x,-y,-z'
'-x,y,-z'
'x,-y,z'
'x+1/2,y+1/2,z'
'-x+1/2,-y+1/2,-z'
'-x+1/2,y+1/2,-z'
'x+1/2,-y+1/2,z'
loop_
_atom_site_label
_atom_site_type_symbol
_atom_site_fract_x
_atom_site_fract_y
_atom_site_fract_z
Li1 Li 0.0000 0.0000 0.0000
Ce1 Ce 0.0000 0.0000 0.5000
Ce2 Ce 0.1611 0.5000 0.8325
Ce3 Ce 0.1796 0.5000 0.3282
Pt1 Pt 0.0000 0.5000 0.0000
Pt2 Pt 0.1557 0.0000 0.8439
Pt3 Pt 0.1613 0.0000 0.3193
```

---

Record 6
# Dy5Ho4Er
Simulated PXRD pattern, Cu Kα X-rays. Input: a structure optimized by DFT (PBE).
Intensities are scaled so that the largest is 100.

Most intense lines, 2θ = 10–90°, sorted by position:
- hkl -1 1 2, 29.74°, intensity 36
- hkl 0 2 -3, 31.75°, intensity 53
- hkl 0 2 2, 32.29°, intensity 100
- hkl 0 0 5, 32.83°, intensity 96
- hkl 1 -3 1, 43.24°, intensity 14
- hkl 1 1 -5, 44.86°, intensity 11
- hkl 1 1 5, 49.26°, intensity 21
- hkl 0 4 -1, 56.58°, intensity 17
- hkl 0 2 -8, 57.58°, intensity 19
- hkl 1 -1 8, 59.78°, intensity 20

Structural model:
```
data_Dy5Ho4Er
_chemical_formula_sum 'Dy5 Ho4 Er1'
_space_group_name_H-M_alt 'P -1'
_space_group_IT_number 2
_cell_length_a 3.5314
_cell_length_b 6.7392
_cell_length_c 13.7735
_cell_angle_alpha 97.63
_cell_angle_beta 90.06
_cell_angle_gamma 105.11
loop_
_space_group_symop_operation_xyz
'x,y,z'
'-x,-y,-z'
loop_
_atom_site_label
_atom_site_type_symbol
_atom_site_fract_x
_atom_site_fract_y
_atom_site_fract_z
Dy1 Dy 0.0000 0.0000 0.0000
Dy2 Dy 0.0354 0.0826 0.3837
Dy3 Dy 0.3145 0.6248 0.4150
Ho1 Ho 0.3219 0.6722 0.7904
Ho2 Ho 0.3729 0.7963 0.1919
Er1 Er 0.5000 0.5000 0.0000
```

---

Record 7
# NdUZn17
Simulated PXRD pattern, Cu Kα X-rays. Input: a structure optimized by DFT (PBE).
Intensities are scaled so that the largest is 100.

Most intense lines, 2θ = 10–90°, sorted by position:
- hkl 1 1 3, 28.33°, intensity 35
- hkl 3 0 0, 34.47°, intensity 41
- hkl 0 2 4, 35.61°, intensity 26
- hkl 2 2 0, 40.01°, intensity 60
- hkl 0 3 3, 40.25°, intensity 100
- hkl 0 0 6, 41.00°, intensity 47
- hkl 2 0 5, 41.26°, intensity 20
- hkl 4 1 3, 58.04°, intensity 21
- hkl 2 2 6, 58.62°, intensity 24
- hkl 0 3 9, 74.17°, intensity 21

Structural model:
```
data_NdUZn17
_chemical_formula_sum 'Nd3 U3 Zn51'
_space_group_name_H-M_alt 'R 3 m'
_space_group_IT_number 160
_space_group_name_Hall 'R 3 -2"'
_cell_length_a 9.0145
_cell_length_b 9.0145
_cell_length_c 13.2125
_cell_angle_alpha 90.00
_cell_angle_beta 90.00
_cell_angle_gamma 120.00
loop_
_atom_site_label
_atom_site_type_symbol
_atom_site_fract_x
_atom_site_fract_y
_atom_site_fract_z
Nd1 Nd 0.0000 0.0000 0.0000
U1 U 0.0000 0.0000 0.6719
Zn1 Zn 0.0000 0.0000 0.2388
Zn2 Zn 0.0000 0.0000 0.4382
Zn3 Zn 0.0012 0.2957 0.3366
Zn4 Zn 0.0006 0.5003 0.8366
Zn5 Zn 0.0137 0.5068 0.4882
Zn6 Zn 0.1689 0.3377 0.5177
```